For CaCr3P3O13, the PBE+U geometry in the Materials Project gives the theoretical PXRD pattern in this record (Cu Kα (weighted mean of Kα1 and Kα2)).

Main lines, sorted by position (2θ from 10° to 90°):
- d = 4.601 Å, rel. 100, hkl 1 0 -2
- d = 3.894 Å, rel. 50, hkl 1 0 2
- d = 3.728 Å, rel. 92, hkl 2 0 0
- d = 3.318 Å, rel. 47, hkl 2 0 1
- d = 3.184 Å, rel. 87, hkl 0 2 0
- d = 2.994 Å, rel. 45, hkl 0 1 3
- d = 2.900 Å, rel. 57, hkl 1 0 3
- d = 2.765 Å, rel. 77, hkl 2 0 -3

Crystal structure
abc: 7.5828 6.3679 10.3404
angles: 90.00 100.25 90.00
Space group P2_1/m (No. 11)
Unique sites:
Ca 0.1578 0.2500 0.1954 [2 per cell]
Cr 0.1413 0.2500 0.7997 [2 per cell]
Cr 0.2753 0.7500 0.4395 [2 per cell]
Cr 0.5000 0.0000 0.0000 [2 per cell]
P 0.1865 0.7500 0.1131 [2 per cell]
P 0.2402 0.7500 0.7640 [2 per cell]
P 0.2903 0.2500 0.5143 [2 per cell]
O 0.0079 0.2500 0.9652 [2 per cell]
O 0.1215 0.5621 0.7886 [4 per cell]
O 0.1438 0.7500 0.2566 [2 per cell]
O 0.1599 0.2500 0.6117 [2 per cell]
O 0.2519 0.0607 0.4170 [4 per cell]
O 0.2905 0.5471 0.0948 [4 per cell]
O 0.2970 0.7500 0.6305 [2 per cell]
O 0.3772 0.2500 0.9053 [2 per cell]
O 0.4161 0.7500 0.8731 [2 per cell]
O 0.4835 0.2500 0.5925 [2 per cell]

For Li6CrCoP2C2O14, the PBE+U geometry in the Materials Project gives the theoretical PXRD pattern in this record (Cu Kα (weighted mean of Kα1 and Kα2)).

Main lines, sorted by position (2θ from 10° to 90°):
- d = 8.565 Å, rel. 90, hkl 0 0 1
- d = 4.490 Å, rel. 33, hkl 2 0 0
- d = 4.141 Å, rel. 56, hkl 2 0 -2
- d = 3.484 Å, rel. 24, hkl 2 2 -2
- d = 3.407 Å, rel. 33, hkl 2 0 1
- d = 3.223 Å, rel. 100, hkl 0 4 0
- d = 2.452 Å, rel. 33, hkl 4 0 -1
- d = 2.235 Å, rel. 32, hkl 2 2 -4

Crystal structure
abc: 10.0012 12.8925 9.5397
angles: 90.00 116.13 90.00
Space group Cm (No. 8)
Unique sites:
Li 0.0000 0.0000 0.0000 [2 per cell]
Li 0.0012 0.5000 0.0021 [2 per cell]
Li 0.1784 0.1154 0.8424 [4 per cell]
Li 0.1805 0.3863 0.8402 [4 per cell]
Li 0.2193 0.1342 0.3830 [4 per cell]
Li 0.2195 0.3653 0.3840 [4 per cell]
Li 0.3937 0.2490 0.2178 [4 per cell]
Cr 0.0143 0.5000 0.4470 [2 per cell]
Cr 0.0147 0.0000 0.4479 [2 per cell]
Co 0.3829 0.2491 0.7778 [4 per cell]
P 0.0195 0.2499 0.5275 [4 per cell]
P 0.3782 0.5000 0.7013 [2 per cell]
P 0.3792 0.0000 0.7030 [2 per cell]
C 0.0824 0.2494 0.0718 [4 per cell]
C 0.3116 0.0000 0.1469 [2 per cell]
C 0.3124 0.5000 0.1465 [2 per cell]
O 0.0213 0.3431 0.4236 [4 per cell]
O 0.0228 0.1569 0.4243 [4 per cell]
O 0.0299 0.0000 0.6938 [2 per cell]
O 0.0303 0.5000 0.6942 [2 per cell]
O 0.1117 0.2473 0.9508 [4 per cell]
O 0.1511 0.2503 0.6916 [4 per cell]
O 0.1907 0.2498 0.2131 [4 per cell]
O 0.1998 0.0000 0.0091 [2 per cell]
O 0.2005 0.5000 0.0085 [2 per cell]
O 0.2504 0.5000 0.5332 [2 per cell]
O 0.2510 0.0000 0.5353 [2 per cell]
O 0.2873 0.0000 0.2719 [2 per cell]
O 0.2879 0.5000 0.2713 [2 per cell]
O 0.3693 0.4060 0.7999 [4 per cell]
O 0.3713 0.0938 0.8024 [4 per cell]
O 0.3711 0.2510 0.5443 [4 per cell]
O 0.4444 0.2489 0.0458 [4 per cell]
O 0.4470 0.0000 0.1660 [2 per cell]
O 0.4478 0.5000 0.1655 [2 per cell]